1.
This entry pairs a crystal structure of LiZn4Sn4O8 with its computed XRD peak list. Radiation: a wavelength of 1.5418 Å. Structure: DFT lattice parameters and positions (PBE).

Atomic structure:
```
LiZn4Sn4O8
1.0
8.6010 -1.6775 0.0000
8.6010 1.6775 0.0000
-6.7779 0.0000 9.3288
Li Zn Sn O
1 4 4 8
direct
0.0000 0.0000 0.0000 Li
0.1535 0.1535 0.3263 Zn
0.3956 0.3956 0.6935 Zn
0.5978 0.5978 0.5241 Zn
0.8291 0.8291 0.8609 Zn
0.1143 0.1143 0.7761 Sn
0.4300 0.4300 0.2016 Sn
0.6974 0.6974 0.0853 Sn
0.8699 0.8699 0.4391 Sn
0.0413 0.0413 0.5444 O
0.1357 0.1357 0.1345 O
0.2974 0.2974 0.4727 O
0.3976 0.3976 0.8609 O
0.5940 0.5940 0.3464 O
0.6919 0.6919 0.7415 O
0.9262 0.9262 0.0830 O
0.9503 0.9503 0.6703 O
```

Largest 10 diffraction maxima, sorted by position, 2θ from 5° to 70°:
10.48°, I = 18
21.38°, I = 17
25.60°, I = 39
31.40°, I = 19
31.88°, I = 100
32.54°, I = 41
35.69°, I = 43
49.05°, I = 16
54.71°, I = 16
55.10°, I = 21

***

2.
This entry pairs a crystal structure of LiZn4Sn4O8 with its computed XRD peak list. Radiation: a wavelength of 1.5418 Å. Structure: DFT lattice parameters and positions (PBE).

Atomic structure:
```
LiZn4Sn4O8
1.0
3.3945 0.0000 0.0000
1.3871 8.3200 0.0000
1.6021 0.6136 9.4658
Li Zn Sn O
1 4 4 8
direct
0.0000 0.0000 0.0000 Li
0.0828 0.1972 0.5606 Zn
0.3342 0.6091 0.7171 Zn
0.5842 0.4510 0.3546 Zn
0.8273 0.3562 0.9120 Zn
0.1142 0.6732 0.0678 Sn
0.3124 0.1228 0.2254 Sn
0.6173 0.9951 0.7784 Sn
0.8659 0.7873 0.4628 Sn
0.1340 0.3166 0.3674 O
0.2581 0.5006 0.9097 O
0.4367 0.6093 0.5013 O
0.6163 0.5601 0.1633 O
0.6247 0.0498 0.5590 O
0.7815 0.2530 0.7439 O
0.7915 0.7455 0.6903 O
0.8451 0.2000 0.0905 O
```

Largest 10 diffraction maxima, sorted by position, 2θ from 5° to 70°:
22.21°, I = 20
27.65°, I = 69
30.96°, I = 100
31.92°, I = 56
34.34°, I = 23
35.42°, I = 29
36.01°, I = 29
47.35°, I = 15
49.14°, I = 14
54.07°, I = 17

***

3.
This entry pairs a crystal structure of LiZn4Sn4O8 with its computed XRD peak list. Radiation: a wavelength of 1.5418 Å. Structure: DFT lattice parameters and positions (PBE).

Atomic structure:
```
LiZn4Sn4O8
1.0
8.0547 -1.6737 0.0000
8.0547 1.6737 0.0000
-5.4056 0.0000 10.1728
Li Zn Sn O
1 4 4 8
direct
0.0000 0.0000 0.0000 Li
0.2014 0.2014 0.1777 Zn
0.3659 0.3659 0.0687 Zn
0.5809 0.5809 0.2749 Zn
0.7910 0.7910 0.7954 Zn
0.1009 0.1009 0.5579 Sn
0.3911 0.3911 0.6681 Sn
0.6322 0.6322 0.8753 Sn
0.8714 0.8714 0.3653 Sn
0.0875 0.0875 0.3699 O
0.1277 0.1277 0.9898 O
0.2592 0.2592 0.6838 O
0.3475 0.3475 0.2310 O
0.4904 0.4904 0.0866 O
0.7175 0.7175 0.2756 O
0.7864 0.7864 0.9637 O
0.9194 0.9194 0.7996 O
```

Largest 10 diffraction maxima, sorted by position, 2θ from 5° to 70°:
23.16°, I = 48
25.04°, I = 55
30.96°, I = 100
32.27°, I = 38
32.72°, I = 26
34.23°, I = 64
34.58°, I = 34
36.25°, I = 32
38.90°, I = 34
65.10°, I = 23

***

4.
This entry pairs a crystal structure of LiZn4Sn4O8 with its computed XRD peak list. Radiation: a wavelength of 1.5418 Å. Structure: DFT lattice parameters and positions (PBE).

Atomic structure:
```
LiZn4Sn4O8
1.0
9.1171 -1.7343 0.0000
9.1171 1.7343 0.0000
-6.7544 0.0000 8.9778
Li Zn Sn O
1 4 4 8
direct
0.0000 0.0000 0.0000 Li
0.1030 0.0925 0.5142 Zn
0.3694 0.3587 0.6982 Zn
0.6413 0.6306 0.3018 Zn
0.9075 0.8970 0.4858 Zn
0.2254 0.2149 0.1759 Sn
0.4318 0.4214 0.2218 Sn
0.5786 0.5682 0.7782 Sn
0.7851 0.7746 0.8241 Sn
0.0709 0.0605 0.6578 O
0.1130 0.1021 0.1901 O
0.2454 0.2350 0.6734 O
0.4270 0.4165 0.5970 O
0.5835 0.5730 0.4030 O
0.7650 0.7546 0.3266 O
0.8979 0.8870 0.8099 O
0.9395 0.9291 0.3422 O
```

Largest 10 diffraction maxima, sorted by position, 2θ from 5° to 70°:
19.78°, I = 52
20.10°, I = 23
29.51°, I = 30
30.41°, I = 25
30.86°, I = 100
31.57°, I = 37
34.44°, I = 18
36.76°, I = 41
45.30°, I = 18
62.85°, I = 26